Record 1
Structure and calculated X-ray diffraction stick pattern of Dy2Cu2O5 (the GGA-PBE geometry in Alexandria; Cu Kα X-rays).
Peak positions follow from Bragg's law for the DFT cell and can differ from measured ones.

Main lines, by intensity (15 to 90 degrees two-theta):
31.0°, intensity 100
32.9°, intensity 78
33.2°, intensity 58
21.6°, intensity 44
44.4°, intensity 36
30.1°, intensity 31
47.4°, intensity 30
26.8°, intensity 29
51.4°, intensity 24
33.6°, intensity 22

Structure:
Cell: 10.9124 3.5338 12.5574 Å, 90.00 90.00 90.00°
Atoms (fractional coordinates):
Dy (0.0429, 0.2229, 0.0000)
Dy (0.2074, 0.2209, 0.3275)
Dy (0.2926, 0.7209, 0.8275)
Dy (0.4571, 0.7229, 0.5000)
Dy (0.5429, 0.2771, 0.0000)
Dy (0.7074, 0.2791, 0.3275)
Dy (0.7926, 0.7791, 0.8275)
Dy (0.9571, 0.7771, 0.5000)
Cu (0.0117, 0.3402, 0.7169)
Cu (0.2378, 0.1565, 0.6113)
Cu (0.2622, 0.6565, 0.1113)
Cu (0.4883, 0.8402, 0.2169)
Cu (0.5117, 0.1598, 0.7169)
Cu (0.7378, 0.3435, 0.6113)
Cu (0.7622, 0.8435, 0.1113)
Cu (0.9883, 0.6598, 0.2169)
O (0.0717, 0.2744, 0.5661)
O (0.0765, 0.7271, 0.3558)
O (0.1248, 0.3504, 0.1638)
O (0.1739, 0.7260, 0.9725)
O (0.1775, 0.2195, 0.7625)
O (0.3225, 0.7195, 0.2625)
O (0.3261, 0.2260, 0.4725)
O (0.3752, 0.8504, 0.6638)
O (0.4235, 0.2271, 0.8558)
O (0.4283, 0.7744, 0.0661)
O (0.5717, 0.2256, 0.5661)
O (0.5765, 0.7729, 0.3558)
O (0.6248, 0.1496, 0.1638)
O (0.6739, 0.7740, 0.9725)
O (0.6775, 0.2805, 0.7625)
O (0.8225, 0.7805, 0.2625)
O (0.8261, 0.2740, 0.4725)
O (0.8752, 0.6496, 0.6638)
O (0.9235, 0.2729, 0.8558)
O (0.9283, 0.7256, 0.0661)

Record 2
Structure and calculated X-ray diffraction stick pattern of Dy2CuPdO6 (the GGA-PBE geometry in Alexandria; Cu Kα X-rays).
Peak positions follow from Bragg's law for the DFT cell and can differ from measured ones.

Main lines, by intensity (15 to 90 degrees two-theta):
33.0°, intensity 100
33.1°, intensity 73
25.5°, intensity 40
33.5°, intensity 39
51.5°, intensity 27
30.6°, intensity 25
46.1°, intensity 21
59.8°, intensity 20
48.7°, intensity 20
59.5°, intensity 16

Structure:
Cell: 5.3445 5.8376 9.1623 Å, 90.00 125.36 90.00°
Atoms (fractional coordinates):
Dy (0.2258, 0.0837, 0.2500)
Dy (0.2258, 0.4163, 0.7500)
Dy (0.7742, 0.5837, 0.2500)
Dy (0.7742, 0.9163, 0.7500)
Cu (0.5000, 0.0000, 0.0000)
Cu (0.5000, 0.5000, 0.5000)
Pd (0.0000, 0.0000, 0.5000)
Pd (0.0000, 0.5000, 0.0000)
O (0.1245, 0.1927, 0.9434)
O (0.1245, 0.3073, 0.4434)
O (0.2571, 0.6872, 0.9414)
O (0.2571, 0.8128, 0.4414)
O (0.3800, 0.0472, 0.7550)
O (0.3800, 0.4528, 0.2550)
O (0.6200, 0.5472, 0.7450)
O (0.6200, 0.9528, 0.2450)
O (0.7429, 0.1872, 0.5586)
O (0.7429, 0.3128, 0.0586)
O (0.8755, 0.6927, 0.5566)
O (0.8755, 0.8073, 0.0566)

Record 3
Structure and calculated X-ray diffraction stick pattern of DyCu3Rh4O12 (the GGA-PBE geometry in Alexandria; Cu Kα X-rays).
Peak positions follow from Bragg's law for the DFT cell and can differ from measured ones.

Main lines, by intensity (15 to 90 degrees two-theta):
33.8°, intensity 100
60.4°, intensity 46
48.5°, intensity 23
81.0°, intensity 17
71.0°, intensity 12
16.7°, intensity 9
45.2°, intensity 6
37.9°, intensity 6
29.1°, intensity 2
63.2°, intensity 2

Structure:
Cell: 6.5010 6.5010 6.5010 Å, 109.47 109.47 109.47°
Atoms (fractional coordinates):
Dy (0.0000, 0.0000, 0.0000)
Cu (0.0000, 0.5000, 0.5000)
Cu (0.5000, 0.0000, 0.5000)
Cu (0.5000, 0.5000, 0.0000)
Rh (0.0000, 0.0000, 0.5000)
Rh (0.0000, 0.5000, 0.0000)
Rh (0.5000, 0.0000, 0.0000)
Rh (0.5000, 0.5000, 0.5000)
O (0.1397, 0.8379, 0.3018)
O (0.1621, 0.3018, 0.4638)
O (0.1621, 0.6982, 0.8603)
O (0.3018, 0.1397, 0.8379)
O (0.3018, 0.4638, 0.1621)
O (0.4638, 0.1621, 0.3018)
O (0.5362, 0.8379, 0.6982)
O (0.6982, 0.5362, 0.8379)
O (0.6982, 0.8603, 0.1621)
O (0.8379, 0.3018, 0.1397)
O (0.8379, 0.6982, 0.5362)
O (0.8603, 0.1621, 0.6982)

Record 4
Structure and calculated X-ray diffraction stick pattern of Sr3DyCu2O6 (the GGA-PBE geometry in Alexandria; Cu Kα X-rays).
Peak positions follow from Bragg's law for the DFT cell and can differ from measured ones.

Main lines, by intensity (15 to 90 degrees two-theta):
29.5°, intensity 100
32.5°, intensity 82
44.5°, intensity 45
54.2°, intensity 36
52.3°, intensity 20
61.1°, intensity 18
16.9°, intensity 16
71.0°, intensity 15
59.9°, intensity 14
75.9°, intensity 13

Structure:
Cell: 6.0633 6.0633 6.4625 Å, 90.00 90.00 120.00°
Atoms (fractional coordinates):
Sr (0.0000, 0.0000, 0.0000)
Sr (0.3333, 0.6667, 0.6303)
Sr (0.6667, 0.3333, 0.3697)
Dy (0.0000, 0.0000, 0.5000)
Cu (0.3333, 0.6667, 0.1753)
Cu (0.6667, 0.3333, 0.8247)
O (0.1668, 0.3336, 0.2911)
O (0.1668, 0.8332, 0.2911)
O (0.3336, 0.1668, 0.7089)
O (0.6664, 0.8332, 0.2911)
O (0.8332, 0.1668, 0.7089)
O (0.8332, 0.6664, 0.7089)